Y3Pb4F17: calculated X-ray powder pattern (Cu Kα X-rays), based on the PBE geometry in Alexandria.
Peak positions follow from Bragg's law for the DFT cell and can differ from measured ones.

The 10 most intense peaks (2θ from 10° to 90°), by angle:
- 2θ 26.32, I 1000
- 2θ 26.40, I 501
- 2θ 26.54, I 472
- 2θ 30.41, I 280
- 2θ 30.62, I 273
- 2θ 30.69, I 264
- 2θ 43.69, I 398
- 2θ 43.81, I 363
- 2θ 51.58, I 261
- 2θ 51.83, I 256

Atomic structure:
a b c (Å): 9.1918 9.2279 9.2792
angles (deg): 72.79 72.94 72.98
Atoms (fractional coordinates):
Y: 0.0000 0.0000 0.0000
Y: 0.0536 0.6577 0.7873
Y: 0.1410 0.3096 0.5531
Y: 0.3731 0.2293 0.9215
Y: 0.7178 0.4480 0.8561
Y: 0.9220 0.3741 0.2219
Pb: 0.2399 0.9350 0.3527
Pb: 0.2765 0.5762 0.1217
Pb: 0.4328 0.8738 0.6924
Pb: 0.4941 0.5337 0.4951
Pb: 0.5839 0.1582 0.2793
Pb: 0.6442 0.7896 0.0675
Pb: 0.7983 0.0986 0.6486
Pb: 0.8580 0.7330 0.4322
F: 0.0240 0.1958 0.4294
F: 0.0461 0.4836 0.3398
F: 0.0741 0.1041 0.7396
F: 0.0796 0.8179 0.2148
F: 0.1159 0.5518 0.5776
F: 0.1748 0.7924 0.9044
F: 0.1817 0.2969 0.1246
F: 0.2268 0.0529 0.9812
F: 0.2659 0.7506 0.6133
F: 0.2713 0.4895 0.8492
F: 0.3211 0.2580 0.6917
F: 0.3237 0.0975 0.4732
F: 0.3582 0.3848 0.3647
F: 0.3981 0.6997 0.2464
F: 0.4546 0.0472 0.1347
F: 0.4931 0.3498 0.0329
F: 0.5054 0.8292 0.4081
F: 0.5078 0.6610 0.9364
F: 0.5540 0.0132 0.8425
F: 0.5805 0.3279 0.7473
F: 0.6143 0.6252 0.6481
F: 0.6694 0.9759 0.5188
F: 0.7090 0.2908 0.4099
F: 0.7201 0.4436 0.1013
F: 0.7409 0.5833 0.3165
F: 0.7850 0.9152 0.1835
F: 0.7904 0.1856 0.9390
F: 0.8006 0.6759 0.7925
F: 0.8770 0.3902 0.6332
F: 0.8883 0.8851 0.8786
F: 0.9278 0.1461 0.1791
F: 0.9706 0.5959 0.0512
F: 0.9816 0.4098 0.8699
F: 0.9828 0.8605 0.5669

YPbF4: calculated X-ray powder pattern (Cu Kα X-rays), based on the PBE geometry in Alexandria.
Peak positions follow from Bragg's law for the DFT cell and can differ from measured ones.

The 10 most intense peaks (2θ from 10° to 90°), by angle:
- 2θ 16.29, I 661
- 2θ 19.37, I 350
- 2θ 25.98, I 1000
- 2θ 26.37, I 725
- 2θ 29.60, I 793
- 2θ 29.84, I 656
- 2θ 31.05, I 404
- 2θ 32.92, I 604
- 2θ 34.69, I 411
- 2θ 43.92, I 510

Atomic structure:
a b c (Å): 6.1100 6.1100 6.1854
angles (deg): 111.28 111.28 97.16
Atoms (fractional coordinates):
Y: 0.1311 0.8689 0.7500
Y: 0.8689 0.1311 0.2500
Pb: 0.4334 0.5666 0.2500
Pb: 0.5666 0.4334 0.7500
F: 0.0403 0.2094 0.0063
F: 0.1272 0.4697 0.6769
F: 0.2094 0.0403 0.5063
F: 0.4697 0.1272 0.1769
F: 0.5303 0.8728 0.8231
F: 0.7906 0.9597 0.4937
F: 0.8728 0.5303 0.3231
F: 0.9597 0.7906 0.9937

ZnPb3F: calculated X-ray powder pattern (Cu Kα X-rays), based on the PBE geometry in Alexandria.
Peak positions follow from Bragg's law for the DFT cell and can differ from measured ones.

The 10 most intense peaks (2θ from 10° to 90°), by angle:
- 2θ 17.33, I 148
- 2θ 24.60, I 69
- 2θ 30.25, I 1000
- 2θ 35.07, I 576
- 2θ 39.38, I 79
- 2θ 50.45, I 415
- 2θ 59.96, I 451
- 2θ 62.92, I 143
- 2θ 82.10, I 193
- 2θ 84.72, I 195

Atomic structure:
a b c (Å): 5.1168 5.1168 5.1168
angles (deg): 90.00 90.00 90.00
Atoms (fractional coordinates):
Zn: 0.0000 0.0000 0.0000
Pb: 0.0000 0.5000 0.5000
Pb: 0.5000 0.0000 0.5000
Pb: 0.5000 0.5000 0.0000
F: 0.5000 0.5000 0.5000

Zn3Pb2F10: calculated X-ray powder pattern (Cu Kα X-rays), based on the PBE geometry in Alexandria.
Peak positions follow from Bragg's law for the DFT cell and can differ from measured ones.

The 10 most intense peaks (2θ from 10° to 90°), by angle:
- 2θ 21.13, I 372
- 2θ 27.08, I 981
- 2θ 27.19, I 251
- 2θ 27.46, I 268
- 2θ 27.96, I 1000
- 2θ 28.43, I 667
- 2θ 29.61, I 382
- 2θ 36.99, I 258
- 2θ 38.75, I 373
- 2θ 41.51, I 568

Atomic structure:
a b c (Å): 9.8980 9.8980 7.8094
angles (deg): 110.03 110.03 35.50
Atoms (fractional coordinates):
Zn: 0.2410 0.7590 0.0000
Zn: 0.3202 0.3202 0.9786
Zn: 0.4268 0.4268 0.5458
Zn: 0.5732 0.5732 0.4542
Zn: 0.6798 0.6798 0.0214
Zn: 0.7590 0.2410 0.0000
Pb: 0.1182 0.1182 0.6904
Pb: 0.2043 0.2043 0.3021
Pb: 0.7957 0.7957 0.6979
Pb: 0.8818 0.8818 0.3096
F: 0.0000 0.5000 0.0000
F: 0.0066 0.0066 0.1848
F: 0.0964 0.6188 0.5406
F: 0.1224 0.6432 0.9401
F: 0.2545 0.2545 0.7045
F: 0.2649 0.7351 0.5000
F: 0.3568 0.8776 0.0599
F: 0.3664 0.3664 0.2602
F: 0.3812 0.9036 0.4594
F: 0.4851 0.4851 0.8185
F: 0.5000 0.0000 0.0000
F: 0.5149 0.5149 0.1815
F: 0.6188 0.0964 0.5406
F: 0.6336 0.6336 0.7398
F: 0.6432 0.1224 0.9401
F: 0.7351 0.2649 0.5000
F: 0.7455 0.7455 0.2955
F: 0.8776 0.3568 0.0599
F: 0.9036 0.3812 0.4594
F: 0.9934 0.9934 0.8152

PdF3: calculated X-ray powder pattern (Cu Kα X-rays), based on the PBE geometry in Alexandria.
Peak positions follow from Bragg's law for the DFT cell and can differ from measured ones.

The 10 most intense peaks (2θ from 10° to 90°), by angle:
- 2θ 22.58, I 1000
- 2θ 31.18, I 265
- 2θ 33.08, I 173
- 2θ 40.43, I 81
- 2θ 46.10, I 192
- 2θ 50.62, I 250
- 2θ 53.19, I 166
- 2θ 57.91, I 107
- 2θ 59.09, I 79
- 2θ 74.05, I 79

Atomic structure:
a b c (Å): 5.4154 5.4154 7.2525
angles (deg): 90.00 90.00 120.00
Atoms (fractional coordinates):
Pd: 0.0000 0.0000 0.0000
Pd: 0.3333 0.6667 0.6593
Pd: 0.6667 0.3333 0.3407
F: 0.0000 0.3870 0.5000
F: 0.0844 0.7477 0.8203
F: 0.2523 0.3366 0.8203
F: 0.3366 0.2523 0.1797
F: 0.3870 0.0000 0.5000
F: 0.6130 0.6130 0.5000
F: 0.6634 0.9156 0.8203
F: 0.7477 0.0844 0.1797
F: 0.9156 0.6634 0.1797

PdF5: calculated X-ray powder pattern (Cu Kα X-rays), based on the PBE geometry in Alexandria.
Peak positions follow from Bragg's law for the DFT cell and can differ from measured ones.

The 10 most intense peaks (2θ from 10° to 90°), by angle:
- 2θ 19.29, I 521
- 2θ 19.49, I 1000
- 2θ 26.63, I 218
- 2θ 26.73, I 215
- 2θ 30.20, I 322
- 2θ 33.86, I 162
- 2θ 36.16, I 151
- 2θ 43.92, I 194
- 2θ 52.67, I 219
- 2θ 62.43, I 127

Atomic structure:
a b c (Å): 5.5824 5.5824 7.1720
angles (deg): 108.45 108.45 55.99
Atoms (fractional coordinates):
Pd: 0.0000 0.0000 0.0000
Pd: 0.0000 0.0000 0.5000
F: 0.0483 0.3261 0.6375
F: 0.1669 0.8331 0.7500
F: 0.2141 0.6103 0.0512
F: 0.3261 0.0483 0.1375
F: 0.3896 0.7859 0.4488
F: 0.6103 0.2141 0.5512
F: 0.6739 0.9517 0.8625
F: 0.7859 0.3896 0.9488
F: 0.8331 0.1669 0.2500
F: 0.9517 0.6739 0.3625

PdF3: calculated X-ray powder pattern (Cu Kα X-rays), based on the PBE geometry in Alexandria.
Peak positions follow from Bragg's law for the DFT cell and can differ from measured ones.

The 10 most intense peaks (2θ from 10° to 90°), by angle:
- 2θ 23.01, I 510
- 2θ 23.11, I 1000
- 2θ 31.99, I 149
- 2θ 32.84, I 474
- 2θ 47.24, I 169
- 2θ 51.97, I 136
- 2θ 53.02, I 214
- 2θ 53.17, I 215
- 2θ 57.55, I 130
- 2θ 59.88, I 164

Atomic structure:
a b c (Å): 5.5959 7.7302 5.3011
angles (deg): 90.00 90.00 90.00
Atoms (fractional coordinates):
Pd: 0.0000 0.0000 0.0000
Pd: 0.0000 0.5000 0.0000
Pd: 0.5000 0.0000 0.5000
Pd: 0.5000 0.5000 0.5000
F: 0.0281 0.2500 0.1224
F: 0.1916 0.0605 0.6848
F: 0.1916 0.4395 0.6848
F: 0.3084 0.5605 0.1848
F: 0.3084 0.9395 0.1848
F: 0.4719 0.7500 0.6224
F: 0.5281 0.2500 0.3776
F: 0.6916 0.0605 0.8152
F: 0.6916 0.4395 0.8152
F: 0.8084 0.5605 0.3152
F: 0.8084 0.9395 0.3152
F: 0.9719 0.7500 0.8776

PdF: calculated X-ray powder pattern (Cu Kα X-rays), based on the PBE geometry in Alexandria.
Peak positions follow from Bragg's law for the DFT cell and can differ from measured ones.

The 10 most intense peaks (2θ from 10° to 90°), by angle:
- 2θ 13.30, I 739
- 2θ 18.85, I 820
- 2θ 30.02, I 883
- 2θ 33.65, I 1000
- 2θ 38.24, I 303
- 2θ 38.85, I 360
- 2θ 40.66, I 973
- 2θ 43.52, I 881
- 2θ 59.30, I 613
- 2θ 75.98, I 343

Atomic structure:
a b c (Å): 6.7995 6.7995 6.7995
angles (deg): 92.39 92.39 156.43
Atoms (fractional coordinates):
Pd: 0.1574 0.1574 0.3148
Pd: 0.1574 0.8426 0.0000
Pd: 0.8426 0.1574 0.0000
Pd: 0.8426 0.8426 0.6852
F: 0.0000 0.3007 0.3007
F: 0.0000 0.6993 0.6993
F: 0.3007 0.0000 0.3007
F: 0.6993 0.0000 0.6993

PmPdF5: calculated X-ray powder pattern (Cu Kα X-rays), based on the PBE geometry in Alexandria.
Peak positions follow from Bragg's law for the DFT cell and can differ from measured ones.

The 10 most intense peaks (2θ from 10° to 90°), by angle:
- 2θ 16.87, I 206
- 2θ 17.62, I 321
- 2θ 21.87, I 868
- 2θ 23.78, I 1000
- 2θ 28.02, I 350
- 2θ 30.41, I 311
- 2θ 34.52, I 208
- 2θ 40.47, I 286
- 2θ 40.84, I 401
- 2θ 52.24, I 204

Atomic structure:
a b c (Å): 5.5770 5.5770 9.0136
angles (deg): 107.21 107.21 76.27
Atoms (fractional coordinates):
Pm: 0.0000 0.0000 0.0000
Pm: 0.0000 0.0000 0.5000
Pd: 0.3791 0.6209 0.7500
Pd: 0.6209 0.3791 0.2500
F: 0.0584 0.9416 0.2500
F: 0.1584 0.3677 0.6103
F: 0.2544 0.6078 0.9375
F: 0.3677 0.1584 0.1103
F: 0.3922 0.7456 0.5625
F: 0.6078 0.2544 0.4375
F: 0.6323 0.8416 0.8897
F: 0.7456 0.3922 0.0625
F: 0.8416 0.6323 0.3897
F: 0.9416 0.0584 0.7500

PdPtF6: calculated X-ray powder pattern (Cu Kα X-rays), based on the PBE geometry in Alexandria.
Peak positions follow from Bragg's law for the DFT cell and can differ from measured ones.

The 10 most intense peaks (2θ from 10° to 90°), by angle:
- 2θ 19.46, I 124
- 2θ 22.92, I 524
- 2θ 23.15, I 1000
- 2θ 31.73, I 188
- 2θ 32.68, I 306
- 2θ 32.93, I 300
- 2θ 39.50, I 182
- 2θ 47.31, I 156
- 2θ 51.64, I 144
- 2θ 53.03, I 250

Atomic structure:
a b c (Å): 5.2499 5.6401 9.3256
angles (deg): 90.00 123.68 90.00
Atoms (fractional coordinates):
Pd: 0.0000 0.0000 0.0000
Pd: 0.0000 0.5000 0.5000
Pt: 0.5000 0.0000 0.5000
Pt: 0.5000 0.5000 0.0000
F: 0.1170 0.1692 0.4305
F: 0.1170 0.3308 0.9305
F: 0.2781 0.6938 0.4325
F: 0.2781 0.8062 0.9325
F: 0.4037 0.0410 0.2634
F: 0.4037 0.4590 0.7634
F: 0.5963 0.5410 0.2366
F: 0.5963 0.9590 0.7366
F: 0.7219 0.1938 0.0675
F: 0.7219 0.3062 0.5675
F: 0.8830 0.6692 0.0695
F: 0.8830 0.8308 0.5695

PdPtF: calculated X-ray powder pattern (Cu Kα X-rays), based on the PBE geometry in Alexandria.
Peak positions follow from Bragg's law for the DFT cell and can differ from measured ones.

The 10 most intense peaks (2θ from 10° to 90°), by angle:
- 2θ 13.52, I 1000
- 2θ 32.53, I 210
- 2θ 33.24, I 570
- 2θ 37.78, I 291
- 2θ 37.92, I 198
- 2θ 38.03, I 390
- 2θ 40.43, I 252
- 2θ 42.70, I 570
- 2θ 45.75, I 430
- 2θ 50.80, I 231

Atomic structure:
a b c (Å): 4.7457 13.0986 2.8152
angles (deg): 90.00 90.00 90.00
Atoms (fractional coordinates):
Pd: 0.1442 0.1346 0.0000
Pd: 0.3558 0.6346 0.5000
Pd: 0.6442 0.3654 0.5000
Pd: 0.8558 0.8654 0.0000
Pt: 0.2404 0.4531 0.0000
Pt: 0.2596 0.9531 0.5000
Pt: 0.7404 0.0469 0.5000
Pt: 0.7596 0.5469 0.0000
F: 0.0051 0.7046 0.0000
F: 0.4949 0.2046 0.5000
F: 0.5051 0.7954 0.5000
F: 0.9949 0.2954 0.0000